# SrCdIn2Pd2
Theoretical powder X-ray diffraction pattern, Cu Kα. Input: a crystal structure in Alexandria, relaxed with GGA-PBE.
Kinematic intensities with the Lorentz-polarization factor, no thermal factor.

Atomic structure:
```
SrCdIn2Pd2
1.0
5.0572 0.0000 0.0000
0.0000 5.0572 0.0000
0.0000 0.0000 6.1138
Sr Cd In Pd
1 1 2 2
direct
0.0000 0.0000 0.0000
0.0000 0.0000 0.5000
0.5000 0.5000 0.2535
0.5000 0.5000 0.7465
0.0000 0.5000 0.5000
0.5000 0.0000 0.5000
```

Largest 10 diffraction maxima, in order of rising 2θ, 2θ from 5° to 70°:
2θ/deg, d/Å, I/Imax, index
14.5, 6.114, 66, 0 0 1
24.9, 3.576, 28, 1 1 0
28.9, 3.087, 28, 1 1 1
34.3, 2.616, 98, 1 0 2
35.5, 2.529, 100, 2 0 0
38.5, 2.337, 23, 2 0 1
38.8, 2.324, 22, 1 1 2
50.2, 1.818, 65, 2 1 2
51.1, 1.788, 35, 2 2 0
63.0, 1.476, 16, 3 0 2